Simulated powder X-ray diffraction pattern of Th3HIr8 for Cu Kα (λ = 1.5418 Å), from a structure optimized by DFT (PBE).
Peak positions follow from Bragg's law for the DFT cell and can differ from measured ones.

Structural model:
Lattice parameters (Å, degrees): 9.3741 9.3741 9.3741 33.54 33.54 33.54
Positions (direct):
Th1 0.0000 0.0000 0.0000
Th2 0.1317 0.1317 0.1317
Th3 0.5241 0.5241 0.5241
H1 0.7025 0.7025 0.7025
Ir1 0.0732 0.0732 0.5673
Ir2 0.0732 0.5673 0.0732
Ir3 0.0798 0.5682 0.5682
Ir4 0.3205 0.3205 0.3205
Ir5 0.5673 0.0732 0.0732
Ir6 0.5682 0.0798 0.5682
Ir7 0.5682 0.5682 0.0798
Ir8 0.8216 0.8216 0.8216

Largest 10 diffraction maxima, low angle first, 2θ from 5° to 70°:
d (Å), I/Imax
4.418, 13.9
3.511, 5.4
2.946, 8.0
2.705, 21.7
2.307, 100.0
2.209, 48.3
1.913, 8.6
1.562, 6.8
1.473, 30.3
1.353, 27.4



Simulated powder X-ray diffraction pattern of BPd3Pt for Cu Kα (λ = 1.5418 Å), from a structure optimized by DFT (PBE).
Peak positions follow from Bragg's law for the DFT cell and can differ from measured ones.

Structural model:
Lattice parameters (Å, degrees): 5.8186 5.8186 5.8186 120.33 117.55 91.87
Positions (direct):
B1 0.2456 0.0000 0.2456
B2 0.7544 0.0000 0.7544
Pd1 0.0067 0.2572 0.7495
Pd2 0.4923 0.7428 0.7495
Pd3 0.5000 0.2526 0.7526
Pd4 0.5000 0.7474 0.2474
Pd5 0.5077 0.2572 0.2505
Pd6 0.9933 0.7428 0.2505
Pt1 0.0000 0.2595 0.2595
Pt2 0.0000 0.7405 0.7405

Largest 10 diffraction maxima, low angle first, 2θ from 5° to 70°:
d (Å), I/Imax
4.837, 14.5
4.047, 6.2
2.484, 5.6
2.419, 100.0
2.354, 92.1
2.089, 68.8
2.023, 31.0
1.508, 12.1
1.453, 41.9
1.447, 10.3



Simulated powder X-ray diffraction pattern of ZrFeCl4 for Cu Kα (λ = 1.5418 Å), from a structure optimized by DFT (PBE).
Peak positions follow from Bragg's law for the DFT cell and can differ from measured ones.

Structural model:
Lattice parameters (Å, degrees): 5.6594 5.6594 5.6594 60.00 60.00 60.00
Positions (direct):
Zr1 0.0000 0.0000 0.0000
Fe1 0.2500 0.2500 0.2500
Cl1 0.1247 0.6251 0.6251
Cl2 0.6251 0.1247 0.6251
Cl3 0.6251 0.6251 0.1247
Cl4 0.6251 0.6251 0.6251

Largest 10 diffraction maxima, low angle first, 2θ from 5° to 70°:
d (Å), I/Imax
4.621, 9.1
4.002, 3.4
2.830, 56.8
2.413, 100.0
2.310, 18.7
1.836, 3.0
1.634, 20.5
1.540, 29.5
1.415, 21.4
1.353, 2.2



Simulated powder X-ray diffraction pattern of Dy2YIn2Hg2 for Cu Kα (λ = 1.5418 Å), from a structure optimized by DFT (PBE).
Peak positions follow from Bragg's law for the DFT cell and can differ from measured ones.

Structural model:
Lattice parameters (Å, degrees): 9.3081 9.3081 9.3081 30.75 30.75 30.75
Positions (direct):
Dy1 0.1312 0.1312 0.1312
Dy2 0.8688 0.8688 0.8688
Y1 0.0000 0.0000 0.0000
In1 0.2691 0.2691 0.2691
In2 0.7309 0.7309 0.7309
Hg1 0.4268 0.4268 0.4268
Hg2 0.5732 0.5732 0.5732

Largest 10 diffraction maxima, low angle first, 2θ from 5° to 70°:
d (Å), I/Imax
8.861, 11.7
4.431, 16.3
2.839, 100.0
2.468, 83.7
2.156, 15.4
1.863, 29.5
1.845, 12.2
1.735, 12.2
1.487, 28.2
1.425, 15.0



Simulated powder X-ray diffraction pattern of Na6SiAu2 for Cu Kα (λ = 1.5418 Å), from a structure optimized by DFT (PBE).
Peak positions follow from Bragg's law for the DFT cell and can differ from measured ones.

Structural model:
Lattice parameters (Å, degrees): 10.0022 10.0022 10.0022 30.34 30.34 30.34
Positions (direct):
Na1 0.0790 0.0790 0.0790
Na2 0.1953 0.1953 0.1953
Na3 0.3088 0.3088 0.3088
Na4 0.6912 0.6912 0.6912
Na5 0.8047 0.8047 0.8047
Na6 0.9210 0.9210 0.9210
Si1 0.5000 0.5000 0.5000
Au1 0.4158 0.4158 0.4158
Au2 0.5842 0.5842 0.5842

Largest 10 diffraction maxima, low angle first, 2θ from 5° to 70°:
d (Å), I/Imax
4.767, 45.8
4.477, 100.0
4.321, 26.3
3.553, 41.6
2.617, 79.5
2.419, 23.3
2.294, 44.5
2.257, 38.1
1.762, 27.9
1.710, 23.9



Simulated powder X-ray diffraction pattern of Cs7RbAu2Br2 for Cu Kα (λ = 1.5418 Å), from a structure optimized by DFT (PBE).
Peak positions follow from Bragg's law for the DFT cell and can differ from measured ones.

Structural model:
Lattice parameters (Å, degrees): 15.8255 15.8255 15.8255 153.06 38.45 153.08
Positions (direct):
Cs1 0.0000 0.0000 0.0000
Cs2 0.1250 0.4991 0.6259
Cs3 0.2406 0.9971 0.2435
Cs4 0.3726 0.4986 0.8740
Cs5 0.6246 0.4986 0.1260
Cs6 0.7536 0.9971 0.7565
Cs7 0.8731 0.4991 0.3741
Rb1 0.5007 0.0007 0.5000
Au1 0.1213 0.9986 0.1227
Au2 0.8759 0.9986 0.8773
Br1 0.2469 0.4969 0.7500
Br2 0.7469 0.4969 0.2500

Largest 10 diffraction maxima, low angle first, 2θ from 5° to 70°:
d (Å), I/Imax
7.155, 39.8
4.274, 22.2
3.736, 48.7
3.685, 100.0
2.623, 76.7
2.606, 41.6
2.137, 42.4
1.652, 19.1
1.648, 19.9
1.508, 27.9



Simulated powder X-ray diffraction pattern of Pa13Ga2 for Cu Kα (λ = 1.5418 Å), from a structure optimized by DFT (PBE).
Peak positions follow from Bragg's law for the DFT cell and can differ from measured ones.

Structural model:
Lattice parameters (Å, degrees): 5.5267 7.9091 8.6169 107.73 95.81 90.62
Positions (direct):
Pa1 0.0000 0.0000 0.0000
Pa2 0.1235 0.2483 0.7760
Pa3 0.1972 0.3973 0.2002
Pa4 0.2547 0.5287 0.5905
Pa5 0.3281 0.6656 0.9995
Pa6 0.3886 0.8121 0.4093
Pa7 0.4656 0.9317 0.7897
Pa8 0.5344 0.0683 0.2103
Pa9 0.6114 0.1879 0.5907
Pa10 0.6719 0.3344 0.0005
Pa11 0.7453 0.4713 0.4095
Pa12 0.8028 0.6027 0.7998
Pa13 0.8765 0.7517 0.2240
Ga1 0.0712 0.1385 0.3942
Ga2 0.9288 0.8615 0.6058

Largest 10 diffraction maxima, low angle first, 2θ from 5° to 70°:
d (Å), I/Imax
2.643, 100.0
2.636, 50.8
2.617, 50.8
2.298, 34.8
2.295, 33.2
2.254, 32.9
1.614, 12.9
1.387, 19.4
1.382, 13.4
1.366, 13.1



Simulated powder X-ray diffraction pattern of Nb3Mo for Cu Kα (λ = 1.5418 Å), from a structure optimized by DFT (PBE).
Peak positions follow from Bragg's law for the DFT cell and can differ from measured ones.

Structural model:
Lattice parameters (Å, degrees): 6.5607 9.1666 4.6587 90.00 90.00 90.00
Positions (direct):
Nb1 0.0000 0.1232 0.2500
Nb2 0.0000 0.8768 0.7500
Nb3 0.2448 0.3750 0.2500
Nb4 0.2448 0.6250 0.7500
Nb5 0.2552 0.1250 0.7500
Nb6 0.2552 0.8750 0.2500
Nb7 0.5000 0.3768 0.7500
Nb8 0.5000 0.6232 0.2500
Nb9 0.7448 0.1250 0.7500
Nb10 0.7448 0.8750 0.2500
Nb11 0.7552 0.3750 0.2500
Nb12 0.7552 0.6250 0.7500
Mo1 0.0000 0.3744 0.7500
Mo2 0.0000 0.6256 0.2500
Mo3 0.5000 0.1256 0.2500
Mo4 0.5000 0.8744 0.7500

Largest 5 diffraction maxima, low angle first, 2θ from 5° to 70°:
d (Å), I/Imax
2.329, 25.5
2.315, 100.0
2.292, 24.3
1.640, 8.3
1.634, 16.5



Simulated powder X-ray diffraction pattern of TiNb14Os for Cu Kα (λ = 1.5418 Å), from a structure optimized by DFT (PBE).
Peak positions follow from Bragg's law for the DFT cell and can differ from measured ones.

Structural model:
Lattice parameters (Å, degrees): 5.6857 5.6857 9.3380 90.00 90.00 109.15
Positions (direct):
Ti1 0.0000 0.0000 0.0000
Nb1 0.0000 0.0000 0.5000
Nb2 0.0000 0.5000 0.0000
Nb3 0.0000 0.5000 0.5000
Nb4 0.2471 0.7529 0.2461
Nb5 0.2471 0.7529 0.7539
Nb6 0.2549 0.2549 0.2432
Nb7 0.2549 0.2549 0.7568
Nb8 0.5000 0.0000 0.0000
Nb9 0.5000 0.0000 0.5000
Nb10 0.5000 0.5000 0.5000
Nb11 0.7451 0.7451 0.2432
Nb12 0.7451 0.7451 0.7568
Nb13 0.7529 0.2471 0.2461
Nb14 0.7529 0.2471 0.7539
Os1 0.5000 0.5000 0.0000

Largest 10 diffraction maxima, low angle first, 2θ from 5° to 70°:
d (Å), I/Imax
5.371, 3.3
4.656, 4.6
3.524, 2.2
2.693, 1.3
2.334, 25.1
2.328, 100.0
2.317, 24.7
1.648, 8.4
1.644, 16.6
1.346, 24.8



Simulated powder X-ray diffraction pattern of BaSi3Pt3 for Cu Kα (λ = 1.5418 Å), from a structure optimized by DFT (PBE).
Peak positions follow from Bragg's law for the DFT cell and can differ from measured ones.

Structural model:
Lattice parameters (Å, degrees): 8.1953 4.2662 9.1753 90.00 112.04 90.00
Positions (direct):
Ba1 0.1168 0.2500 0.2263
Ba2 0.8832 0.7500 0.7737
Si1 0.2033 0.2500 0.6539
Si2 0.3207 0.7500 0.0319
Si3 0.4158 0.7500 0.5518
Si4 0.5842 0.2500 0.4482
Si5 0.6793 0.2500 0.9681
Si6 0.7967 0.7500 0.3461
Pt1 0.1171 0.7500 0.5214
Pt2 0.3620 0.2500 0.9281
Pt3 0.4795 0.7500 0.3164
Pt4 0.5205 0.2500 0.6836
Pt5 0.6380 0.7500 0.0719
Pt6 0.8829 0.2500 0.4786

Largest 10 diffraction maxima, low angle first, 2θ from 5° to 70°:
d (Å), I/Imax
7.154, 20.7
3.807, 12.4
3.199, 100.0
3.060, 65.0
2.741, 61.1
2.722, 21.4
2.133, 30.0
1.903, 26.2
1.750, 26.1
1.617, 15.5